Structure and simulated powder diffraction line list of V3CoRh6 (a GGA-PBE-relaxed structure; Cu Kα (λ = 1.5418 Å)).
Lines closer than 0.1° are merged.

Principal peaks in the range 2θ from 15° to 90°, by intensity:
two_theta	d [Å]	I/Imax
43.86	2.064	100
44.06	2.055	96
44.31	2.044	76
42.18	2.143	70
38.71	2.326	31
28.32	3.152	22

Cell and atoms:
```
data_V3CoRh6
_cell_length_a 7.184
_cell_length_b 4.285
_cell_length_c 9.369
_cell_angle_alpha 90.00
_cell_angle_beta 109.87
_cell_angle_gamma 90.00
_symmetry_space_group_name_H-M 'P 1 21/m 1'
_symmetry_Int_Tables_number 11
loop_
_symmetry_equiv_pos_as_xyz
'x,y,z'
'-x,-y,-z'
'-x,y+1/2,-z'
'x,-y+1/2,z'
loop_
_atom_site_label
_atom_site_type_symbol
_atom_site_fract_x
_atom_site_fract_y
_atom_site_fract_z
_atom_site_occupancy
V1 V 0.087 0.250 0.236 1
V2 V 0.297 0.250 0.028 1
V3 V 0.314 0.750 0.373 1
Co1 Co 0.095 0.750 0.565 1
Rh1 Rh 0.084 0.250 0.722 1
Rh2 Rh 0.107 0.750 0.073 1
Rh3 Rh 0.286 0.250 0.527 1
Rh4 Rh 0.294 0.750 0.863 1
Rh5 Rh 0.495 0.250 0.329 1
Rh6 Rh 0.499 0.250 0.836 1
```

***

Structure and simulated powder diffraction line list of CoRhW2 (a GGA-PBE-relaxed structure; Cu Kα (λ = 1.5418 Å)).
Lines closer than 0.1° are merged.

Principal peaks in the range 2θ from 15° to 90°, by intensity:
two_theta	d [Å]	I/Imax
40.58	2.223	100
40.75	2.214	99
47.17	1.927	32
47.31	1.921	32
47.45	1.916	32
69.03	1.361	31

Cell and atoms:
```
data_CoRhW2
_cell_length_a 5.410
_cell_length_b 7.707
_cell_length_c 2.722
_cell_angle_alpha 90.00
_cell_angle_beta 90.16
_cell_angle_gamma 90.00
_symmetry_space_group_name_H-M 'C 1 2/m 1'
_symmetry_Int_Tables_number 12
loop_
_symmetry_equiv_pos_as_xyz
'x,y,z'
'-x,-y,-z'
'-x,y,-z'
'x,-y,z'
'x+1/2,y+1/2,z'
'-x+1/2,-y+1/2,-z'
'-x+1/2,y+1/2,-z'
'x+1/2,-y+1/2,z'
loop_
_atom_site_label
_atom_site_type_symbol
_atom_site_fract_x
_atom_site_fract_y
_atom_site_fract_z
_atom_site_occupancy
Co1 Co 0.000 0.000 0.000 1
Rh1 Rh 0.000 0.500 0.000 1
W1 W 0.250 0.250 0.500 1
```

***

Structure and simulated powder diffraction line list of YCoRh (a GGA-PBE-relaxed structure; Cu Kα (λ = 1.5418 Å)).
Lines closer than 0.1° are merged.

Principal peaks in the range 2θ from 15° to 90°, by intensity:
two_theta	d [Å]	I/Imax
39.59	2.276	100
41.67	2.168	45
40.74	2.215	41
34.34	2.612	41
41.10	2.196	40
43.77	2.068	38

Cell and atoms:
```
data_YCoRh
_cell_length_a 4.985
_cell_length_b 5.452
_cell_length_c 7.416
_cell_angle_alpha 90.00
_cell_angle_beta 90.00
_cell_angle_gamma 90.00
_symmetry_space_group_name_H-M 'I m m a'
_symmetry_Int_Tables_number 74
_symmetry_space_group_name_Hall '-I 2b 2'
loop_
_atom_site_label
_atom_site_type_symbol
_atom_site_fract_x
_atom_site_fract_y
_atom_site_fract_z
_atom_site_occupancy
Y1 Y 0.000 0.250 0.119 1
Co1 Co 0.250 0.250 0.750 1
Rh1 Rh 0.000 0.000 0.500 1
```

***

Structure and simulated powder diffraction line list of ZnCoRh2 (a GGA-PBE-relaxed structure; Cu Kα (λ = 1.5418 Å)).
Lines closer than 0.1° are merged.

Principal peaks in the range 2θ from 15° to 90°, by intensity:
two_theta	d [Å]	I/Imax
41.05	2.199	100
48.24	1.887	61
42.63	2.121	29
85.05	1.141	22
69.48	1.353	20
71.71	1.316	17

Cell and atoms:
```
data_ZnCoRh2
_cell_length_a 2.7057
_cell_length_b 2.7057
_cell_length_c 25.4511
_cell_angle_alpha 90.00
_cell_angle_beta 90.00
_cell_angle_gamma 120.00
_symmetry_space_group_name_H-M 'R 3 m'
_symmetry_Int_Tables_number 160
_symmetry_space_group_name_Hall 'R 3 -2"'
loop_
_atom_site_label
_atom_site_type_symbol
_atom_site_fract_x
_atom_site_fract_y
_atom_site_fract_z
_atom_site_occupancy
Zn1 Zn 0.0000 0.0000 0.0000 1
Co1 Co 0.0000 0.0000 0.7476 1
Rh1 Rh 0.0000 0.0000 0.2484 1
Rh2 Rh 0.0000 0.0000 0.4933 1
```